# 1
# CsNa12Bi4
Calculated PXRD pattern, Cu Kα. Input: a structure optimized by DFT (PBE).

Structural model:
Unit cell a=12.242 b=12.242 c=12.242 alpha=90.00 beta=90.00 gamma=90.00
Space group Im-3 (No. 204)
Asymmetric unit:
Cs: 0.000 0.000 0.000
Na: 0.000 0.253 0.271
Bi: 0.250 0.250 0.250

The 6 most intense peaks (10° ≤ 2θ ≤ 90°), by intensity:
- (2 2 0), 20.52 deg, I 100
- (2 0 0), 14.47 deg, I 94
- (4 2 0), 32.72 deg, I 55
- (4 2 2), 35.94 deg, I 52
- (4 0 0), 29.18 deg, I 45
- (4 4 0), 41.74 deg, I 34



# 2
# CsNa3Bi
Calculated PXRD pattern, Cu Kα. Input: a structure optimized by DFT (PBE).

Structural model:
Unit cell a=7.961 b=12.330 c=9.442 alpha=90.00 beta=90.00 gamma=90.00
Space group Imma (No. 74)
Asymmetric unit:
Cs: 0.000 0.250 0.111
Na: 0.000 0.250 0.578
Na: 0.250 0.054 0.750
Bi: 0.000 0.000 0.500

The 6 most intense peaks (10° ≤ 2θ ≤ 90°), by intensity:
- (1 2 1), 20.51 deg, I 100
- (2 0 2), 29.34 deg, I 25
- (2 0 0), 22.34 deg, I 25
- (3 2 1), 38.13 deg, I 22
- (1 1 2), 23.06 deg, I 21
- (1 0 1), 14.55 deg, I 21



# 3
# CsNaBi2Se4
Calculated PXRD pattern, Cu Kα. Input: a structure optimized by DFT (PBE).

Structural model:
Unit cell a=4.421 b=14.764 c=15.701 alpha=90.00 beta=90.00 gamma=90.00
Space group Cmcm (No. 63)
Asymmetric unit:
Cs: 0.000 0.111 0.250
Na: 0.000 0.173 0.750
Bi: 0.000 0.369 0.063
Se: 0.000 0.000 0.000
Se: 0.000 0.261 0.596
Se: 0.000 0.430 0.250

The 6 most intense peaks (10° ≤ 2θ ≤ 90°), by intensity:
- (0 6 3), 40.55 deg, I 100
- (0 2 3), 20.81 deg, I 90
- (1 3 2), 29.45 deg, I 88
- (1 3 1), 27.71 deg, I 82
- (1 3 5), 39.69 deg, I 44
- (2 0 0), 40.83 deg, I 39



# 4
# CsNbBi2O6
Calculated PXRD pattern, Cu Kα. Input: a structure optimized by DFT (PBE).

Structural model:
Unit cell a=11.126 b=12.737 c=7.688 alpha=90.00 beta=118.14 gamma=90.00
Space group C2/c (No. 15)
Asymmetric unit:
Cs: 0.000 0.113 0.250
Nb: 0.000 0.189 0.750
Bi: 0.128 0.420 0.162
O: 0.075 0.271 0.983
O: 0.102 0.455 0.460
O: 0.127 0.098 0.735

The 6 most intense peaks (10° ≤ 2θ ≤ 90°), by intensity:
- (1 3 1), 28.47 deg, I 100
- (0 2 1), 19.12 deg, I 45
- (3 1 0), 28.17 deg, I 37
- (1 1 0), 11.38 deg, I 29
- (1 1 -2), 24.41 deg, I 28
- (2 2 -1), 21.70 deg, I 27



# 5
# Cs8Bi3O8
Calculated PXRD pattern, Cu Kα. Input: a structure optimized by DFT (PBE).

Structural model:
Unit cell a=21.413 b=6.002 c=9.723 alpha=90.00 beta=107.16 gamma=90.00
Space group C2/m (No. 12)
Asymmetric unit:
Cs: 0.051 0.000 0.219
Cs: 0.093 0.500 0.939
Cs: 0.132 0.000 0.704
Cs: 0.178 0.500 0.426
Bi: 0.000 0.500 0.500
Bi: 0.225 0.000 0.159
O: 0.029 0.500 0.298
O: 0.127 0.000 0.002
O: 0.166 0.500 0.722
O: 0.194 0.000 0.339

The 6 most intense peaks (10° ≤ 2θ ≤ 90°), by intensity:
- (1 1 2), 25.62 deg, I 100
- (5 1 -1), 25.75 deg, I 99
- (0 2 0), 29.77 deg, I 48
- (6 0 1), 30.47 deg, I 41
- (4 0 -3), 28.97 deg, I 40
- (6 2 1), 43.13 deg, I 32



# 6
# Cs4BiO5
Calculated PXRD pattern, Cu Kα. Input: a structure optimized by DFT (PBE).

Structural model:
Unit cell a=9.100 b=9.100 c=6.424 alpha=90.00 beta=90.00 gamma=90.00
Space group I4 (No. 79)
Asymmetric unit:
Cs: 0.094 0.706 0.000
Bi: 0.000 0.000 0.534
O: 0.000 0.000 0.855
O: 0.072 0.784 0.461

The 6 most intense peaks (10° ≤ 2θ ≤ 90°), by intensity:
- (1 2 1), 25.92 deg, I 100
- (3 1 0), 31.08 deg, I 42
- (5 0 1), 52.24 deg, I 33
- (3 1 2), 42.16 deg, I 32
- (0 0 2), 27.77 deg, I 27
- (1 2 3), 48.01 deg, I 20



# 7
# CsPaBiO6
Calculated PXRD pattern, Cu Kα. Input: a structure optimized by DFT (PBE).

Structural model:
Unit cell a=7.827 b=8.173 c=11.442 alpha=90.00 beta=90.00 gamma=90.00
Space group Imma (No. 74)
Asymmetric unit:
Cs: 0.000 0.250 0.104
Pa: 0.000 0.000 0.500
Bi: 0.250 0.250 0.750
O: 0.000 0.250 0.441
O: 0.000 0.250 0.827
O: 0.192 0.065 0.624

The 6 most intense peaks (10° ≤ 2θ ≤ 90°), by intensity:
- (1 2 1), 25.79 deg, I 100
- (2 0 2), 27.62 deg, I 56
- (2 1 1), 26.43 deg, I 49
- (2 2 4), 45.09 deg, I 47
- (0 2 2), 26.81 deg, I 43
- (0 1 1), 13.31 deg, I 34



# 8
# Cs2BiPbO4
Calculated PXRD pattern, Cu Kα. Input: a structure optimized by DFT (PBE).

Structural model:
Unit cell a=9.280 b=9.832 c=6.565 alpha=90.00 beta=134.97 gamma=90.00
Space group C2 (No. 5)
Asymmetric unit:
Cs: 0.000 0.000 0.000
Cs: 0.000 0.250 0.500
Bi: 0.000 0.750 0.500
Pb: 0.000 0.500 0.000
O: 0.140 0.627 0.398
O: 0.242 0.872 0.882

The 6 most intense peaks (10° ≤ 2θ ≤ 90°), by intensity:
- (0 2 1), 26.41 deg, I 100
- (2 2 1), 47.54 deg, I 41
- (2 0 0), 27.17 deg, I 41
- (2 4 0), 46.13 deg, I 25
- (0 0 2), 38.80 deg, I 19
- (0 4 2), 54.36 deg, I 13



# 9
# Cs2BiPdO4
Calculated PXRD pattern, Cu Kα. Input: a structure optimized by DFT (PBE).

Structural model:
Unit cell a=6.373 b=15.001 c=20.273 alpha=90.00 beta=90.00 gamma=90.00
Space group Fddd (No. 70, origin choice 2)
Asymmetric unit:
Cs: 0.125 0.125 0.297
Bi: 0.125 0.125 0.625
Pd: 0.125 0.125 0.125
O: 0.106 0.282 0.378

The 6 most intense peaks (10° ≤ 2θ ≤ 90°), by intensity:
- (0 2 6), 28.98 deg, I 100
- (1 1 3), 20.05 deg, I 82
- (2 2 0), 30.48 deg, I 74
- (0 4 0), 23.73 deg, I 64
- (2 4 6), 46.03 deg, I 59
- (0 2 2), 14.69 deg, I 54



# 10
# CsPm2Bi2O6
Calculated PXRD pattern, Cu Kα. Input: a structure optimized by DFT (PBE).

Structural model:
Unit cell a=6.558 b=6.559 c=7.336 alpha=96.16 beta=111.27 gamma=117.27
Space group P-1 (No. 2)
Asymmetric unit:
Cs: 0.000 0.000 0.000
Pm: 0.343 0.668 0.032
Bi: 0.291 0.643 0.539
O: 0.095 0.637 0.204
O: 0.353 0.911 0.782
O: 0.470 0.520 0.799

The 6 most intense peaks (10° ≤ 2θ ≤ 90°), by intensity:
- (1 1 0), 29.37 deg, I 100
- (1 -2 0), 27.36 deg, I 59
- (0 1 0), 16.08 deg, I 56
- (0 0 2), 27.65 deg, I 42
- (-2 1 2), 32.15 deg, I 32
- (1 1 -2), 29.80 deg, I 29



# 11
# Cs2Sc2Bi2O
Calculated PXRD pattern, Cu Kα. Input: a structure optimized by DFT (PBE).

Structural model:
Unit cell a=4.570 b=4.570 c=21.764 alpha=90.00 beta=90.00 gamma=90.00
Space group I4/mmm (No. 139)
Asymmetric unit:
Cs: 0.000 0.000 0.177
Sc: 0.000 0.500 0.000
Bi: 0.000 0.000 0.405
O: 0.000 0.000 0.000

The 6 most intense peaks (10° ≤ 2θ ≤ 90°), by intensity:
- (1 0 5), 28.32 deg, I 100
- (1 1 0), 27.61 deg, I 50
- (2 1 5), 49.26 deg, I 44
- (1 1 4), 32.22 deg, I 36
- (2 0 0), 39.44 deg, I 33
- (1 0 1), 19.85 deg, I 25



# 12
# Cs2BiSe2O6
Calculated PXRD pattern, Cu Kα. Input: a structure optimized by DFT (PBE).

Structural model:
Unit cell a=6.4035 b=6.4035 c=23.1964 alpha=90.00 beta=90.00 gamma=120.00
Space group R-3m (No. 166, hexagonal axes)
Asymmetric unit:
Cs: 0.0000 0.0000 0.2400
Bi: 0.0000 0.0000 0.5000
Se: 0.0000 0.0000 0.0807
O: 0.0414 0.5207 0.7776

The 6 most intense peaks (10° ≤ 2θ ≤ 90°), by intensity:
- (1 1 0), 27.87 deg, I 100
- (0 0 3), 11.44 deg, I 66
- (1 0 4), 22.18 deg, I 59
- (1 0 7), 31.45 deg, I 39
- (0 1 5), 25.03 deg, I 32
- (0 2 4), 35.90 deg, I 30



# 13
# CsBiSe2O8
Calculated PXRD pattern, Cu Kα. Input: a structure optimized by DFT (PBE).

Structural model:
Unit cell a=5.4433 b=5.4433 c=27.8083 alpha=90.00 beta=90.00 gamma=120.00
Space group R-3 (No. 148, hexagonal axes)
Asymmetric unit:
Cs: 0.0000 0.0000 0.0000
Bi: 0.0000 0.0000 0.5000
Se: 0.0000 0.0000 0.2384
O: 0.0000 0.0000 0.2977
O: 0.0108 0.7136 0.2177

The 6 most intense peaks (10° ≤ 2θ ≤ 90°), by intensity:
- (1 0 4), 22.79 deg, I 100
- (1 1 0), 32.91 deg, I 34
- (0 1 8), 31.99 deg, I 31
- (0 2 4), 40.42 deg, I 23
- (3 -1 4), 53.06 deg, I 20
- (2 -1 12), 51.80 deg, I 19